No. 1
For KCe4Cu3S12, a structure optimized by DFT (PBE) gives the theoretical powder XRD pattern in this record (Cu Kα (λ = 1.5418 Å)).

Crystal structure
```
data_KCe4Cu3S12
_cell_length_a 9.8606
_cell_length_b 9.8606
_cell_length_c 9.8606
_cell_angle_alpha 90.00
_cell_angle_beta 90.00
_cell_angle_gamma 90.00
_space_group_name_H-M_alt 'I m -3'
_space_group_IT_number 204
_space_group_name_Hall '-I 2 2 3'
loop_
_atom_site_label
_atom_site_fract_x
_atom_site_fract_y
_atom_site_fract_z
K1 0.0000 0.0000 0.0000
Ce1 0.2500 0.2500 0.2500
Cu1 0.0000 0.0000 0.5000
S1 0.0000 0.1570 0.3282
```

Peak list (10 most intense, 5 to 70 degrees two-theta, by intensity)
- 2θ = 25.55°, d = 3.486 Å, I = 100, (2 2 0)
- 2θ = 45.04°, d = 2.013 Å, I = 70, (4 2 2)
- 2θ = 36.45°, d = 2.465 Å, I = 25, (4 0 0)
- 2θ = 59.27°, d = 1.559 Å, I = 24, (6 2 0)
- 2θ = 17.99°, d = 4.930 Å, I = 21, (2 0 0)
- 2θ = 40.93°, d = 2.205 Å, I = 19, (4 0 2)
- 2θ = 52.50°, d = 1.743 Å, I = 13, (4 4 0)
- 2θ = 28.63°, d = 3.118 Å, I = 13, (3 1 0)
- 2θ = 65.59°, d = 1.423 Å, I = 7, (4 4 4)
- 2θ = 62.48°, d = 1.487 Å, I = 5, (6 2 2)

No. 2
For LaCeCu, a structure optimized by DFT (PBE) gives the theoretical powder XRD pattern in this record (Cu Kα (λ = 1.5418 Å)).

Crystal structure
```
data_LaCeCu
_cell_length_a 3.4987
_cell_length_b 16.2167
_cell_length_c 5.3767
_cell_angle_alpha 90.00
_cell_angle_beta 90.00
_cell_angle_gamma 90.00
_space_group_name_H-M_alt 'C m c m'
_space_group_IT_number 63
_space_group_name_Hall '-C 2c 2'
loop_
_atom_site_label
_atom_site_fract_x
_atom_site_fract_y
_atom_site_fract_z
La1 0.0000 0.0733 0.2500
Ce1 0.0000 0.2359 0.7500
Cu1 0.0000 0.4089 0.2500
```

Peak list (10 most intense, 5 to 70 degrees two-theta, by intensity)
- 2θ = 34.80°, d = 2.578 Å, I = 100, (1 3 1)
- 2θ = 33.33°, d = 2.688 Å, I = 29, (0 0 2)
- 2θ = 33.15°, d = 2.703 Å, I = 25, (0 6 0)
- 2θ = 60.52°, d = 1.530 Å, I = 20, (1 3 3)
- 2θ = 47.72°, d = 1.906 Å, I = 18, (0 6 2)
- 2θ = 60.29°, d = 1.535 Å, I = 13, (1 9 1)
- 2θ = 27.56°, d = 3.237 Å, I = 13, (0 4 1)
- 2θ = 63.44°, d = 1.466 Å, I = 9, (2 0 2)
- 2θ = 52.29°, d = 1.749 Å, I = 8, (2 0 0)
- 2θ = 63.33°, d = 1.469 Å, I = 7, (2 6 0)

No. 3
For LaCeCu12, a structure optimized by DFT (PBE) gives the theoretical powder XRD pattern in this record (Cu Kα (λ = 1.5418 Å)).

Crystal structure
```
data_LaCeCu12
_cell_length_a 5.0981
_cell_length_b 10.1564
_cell_length_c 8.1245
_cell_angle_alpha 90.00
_cell_angle_beta 90.00
_cell_angle_gamma 90.00
_space_group_name_H-M_alt 'P m c 21'
_space_group_IT_number 26
_space_group_name_Hall 'P 2c -2'
loop_
_atom_site_label
_atom_site_fract_x
_atom_site_fract_y
_atom_site_fract_z
La1 0.0000 0.1869 0.0000
Ce1 0.5000 0.3157 0.4800
Cu1 0.0000 0.1082 0.3874
Cu2 0.0000 0.2673 0.6371
Cu3 0.0000 0.3473 0.3069
Cu4 0.0000 0.4940 0.0578
Cu5 0.2467 0.0604 0.6740
Cu6 0.2561 0.4432 0.8033
Cu7 0.5000 0.0052 0.4217
Cu8 0.5000 0.1533 0.1812
Cu9 0.5000 0.2359 0.8343
Cu10 0.5000 0.3936 0.0929
```

Peak list (10 most intense, 5 to 70 degrees two-theta, by intensity)
- 2θ = 38.68°, d = 2.328 Å, I = 100, (1 1 3)
- 2θ = 38.87°, d = 2.317 Å, I = 81, (1 3 2)
- 2θ = 37.10°, d = 2.424 Å, I = 55, (0 4 1)
- 2θ = 41.81°, d = 2.161 Å, I = 43, (2 0 2)
- 2θ = 45.94°, d = 1.975 Å, I = 43, (2 3 1)
- 2θ = 45.74°, d = 1.984 Å, I = 43, (1 4 2)
- 2θ = 42.81°, d = 2.112 Å, I = 38, (2 1 2)
- 2θ = 35.21°, d = 2.549 Å, I = 37, (2 0 0)
- 2θ = 39.56°, d = 2.278 Å, I = 29, (2 2 0)
- 2θ = 45.54°, d = 1.992 Å, I = 28, (0 1 4)

No. 4
For LaCeCu4Si4, a structure optimized by DFT (PBE) gives the theoretical powder XRD pattern in this record (Cu Kα (λ = 1.5418 Å)).

Crystal structure
```
data_LaCeCu4Si4
_cell_length_a 4.1168
_cell_length_b 4.1168
_cell_length_c 9.8917
_cell_angle_alpha 90.00
_cell_angle_beta 90.00
_cell_angle_gamma 90.00
_space_group_name_H-M_alt 'P 4/m m m'
_space_group_IT_number 123
_space_group_name_Hall '-P 4 2'
loop_
_atom_site_label
_atom_site_fract_x
_atom_site_fract_y
_atom_site_fract_z
La1 0.0000 0.0000 0.0000
Ce1 0.5000 0.5000 0.5000
Cu1 0.0000 0.5000 0.2524
Si1 0.0000 0.0000 0.3807
Si2 0.5000 0.5000 0.1237
```

Peak list (10 most intense, 5 to 70 degrees two-theta, by intensity)
- 2θ = 35.79°, d = 2.509 Å, I = 100, (1 1 2)
- 2θ = 34.86°, d = 2.574 Å, I = 42, (1 0 3)
- 2θ = 43.99°, d = 2.058 Å, I = 39, (2 0 0)
- 2θ = 23.41°, d = 3.801 Å, I = 34, (1 0 1)
- 2θ = 57.32°, d = 1.607 Å, I = 20, (2 1 3)
- 2θ = 65.01°, d = 1.435 Å, I = 15, (1 1 6)
- 2θ = 51.23°, d = 1.783 Å, I = 15, (1 0 5)
- 2θ = 36.33°, d = 2.473 Å, I = 15, (0 0 4)
- 2θ = 58.33°, d = 1.582 Å, I = 14, (2 0 4)
- 2θ = 63.96°, d = 1.456 Å, I = 12, (2 2 0)